[1]
The following is a theoretical X-ray diffraction stick pattern of KMg6Mo. It was derived from a cell relaxed with PBE, using Cu Kα, 1.54184 Å.

Crystal structure
```
8
Lattice="6.5835 0.0000 0.0000 0.0000 6.5835 0.0000 0.0000 0.0000 4.3638" Properties=species:S:1:pos:R:3 pbc="T T T"
K 0.0000 0.0000 0.0000
Mg 0.0000 3.2918 0.0000
Mg 1.8786 1.8786 2.1819
Mg 1.8786 4.7049 2.1819
Mg 3.2918 0.0000 0.0000
Mg 4.7049 1.8786 2.1819
Mg 4.7049 4.7049 2.1819
Mo 3.2918 3.2918 0.0000
```

The 12 most intense peaks (2θ = 10–90°), in order of rising 2θ:
13.45°, I 38; 19.06°, I 23; 27.09°, I 11; 28.03°, I 14; 34.12°, I 100; 36.83°, I 12; 38.68°, I 33; 41.38°, I 15; 55.86°, I 9; 57.93°, I 19; 67.10°, I 19; 70.82°, I 11

[2]
The following is a theoretical X-ray diffraction stick pattern of Sr2La4Mg2RuO12. It was derived from a cell relaxed with PBE, using Cu Kα, 1.54184 Å.

Crystal structure
```
42
Lattice="2.7931 -2.7796 0.0000 2.7931 2.7796 0.0000 -0.0606 0.0000 37.9369" Properties=species:S:1:pos:R:3 pbc="T T T"
Sr 1.3534 0.0000 13.9468
Sr 1.3609 0.0000 17.6536
Sr 4.1646 0.0000 20.2833
Sr 4.1721 0.0000 23.9901
La 1.2570 0.0000 30.2278
La 1.3083 0.0000 4.8683
La 1.4769 0.0000 1.4214
La 1.5188 0.0000 26.7649
La 4.0067 0.0000 11.1720
La 4.0486 0.0000 36.5155
La 4.2172 0.0000 33.0686
La 4.2685 0.0000 7.7091
Mg 1.3796 0.0000 9.4408
Mg 1.3420 0.0000 34.7870
Mg 4.1836 0.0000 3.1499
Mg 4.1459 0.0000 28.4961
Ru 1.3664 0.0000 22.1578
Ru 4.1591 0.0000 15.7791
O 1.2715 0.0000 7.1855
O 1.2386 0.0000 32.5471
O 1.3507 0.0000 20.0779
O 2.7411 1.3872 28.5074
O 2.7643 1.3903 15.7956
O 2.7868 1.3899 3.1455
O 2.7387 1.3899 34.7913
O 2.7612 1.3903 22.1413
O 2.7844 1.3872 9.4295
O 1.3807 0.0000 24.2726
O 1.4511 0.0000 37.0383
O 1.5728 0.0000 11.6051
O 3.9527 0.0000 26.3318
O 4.0744 0.0000 0.8985
O 4.1448 0.0000 13.6643
O 2.7411 -1.3872 28.5074
O 2.7643 -1.3903 15.7956
O 2.7868 -1.3899 3.1455
O 2.7387 -1.3899 34.7913
O 2.7612 -1.3903 22.1413
O 2.7844 -1.3872 9.4295
O 4.1749 0.0000 17.8589
O 4.2869 0.0000 5.3898
O 4.2540 0.0000 30.7513
```

The 12 most intense peaks (2θ = 10–90°), in order of rising 2θ:
23.65°, I 30; 28.23°, I 14; 31.07°, I 100; 32.04°, I 37; 32.20°, I 38; 42.48°, I 19; 43.22°, I 17; 43.35°, I 18; 46.07°, I 40; 56.00°, I 11; 56.50°, I 18; 64.76°, I 11

[3]
The following is a theoretical X-ray diffraction stick pattern of Ba3W2N4. It was derived from a cell relaxed with PBE, using Cu Kα, 1.54184 Å.

Crystal structure
```
36
Lattice="6.2611 0.0000 0.0000 0.0000 10.9103 0.0000 0.0000 0.0000 10.4396" Properties=species:S:1:pos:R:3 pbc="T T T"
Ba 0.7759 1.7372 0.8484
Ba 0.7759 3.7180 4.3714
Ba 1.5653 0.0000 4.1937
Ba 1.5653 5.4552 1.0261
Ba 2.3546 7.1924 4.3714
Ba 2.3546 9.1731 0.8484
Ba 3.9065 1.7372 9.5912
Ba 3.9065 3.7180 6.0682
Ba 4.6958 0.0000 6.2459
Ba 4.6958 5.4552 9.4135
Ba 5.4852 7.1924 6.0682
Ba 5.4852 9.1731 9.5912
W 0.8828 2.7276 7.8297
W 1.5653 0.0000 7.6935
W 1.5653 5.4552 7.9659
W 2.2477 8.1827 7.8297
W 4.0133 2.7276 2.6099
W 4.6958 0.0000 2.7461
W 4.6958 5.4552 2.4737
W 5.3783 8.1827 2.6099
N 0.1615 0.9646 8.6811
N 0.1615 4.4906 6.9783
N 1.0276 7.0877 8.9979
N 1.0276 9.2778 6.6615
N 2.1030 1.6325 6.6615
N 2.1030 3.8226 8.9979
N 2.9691 6.4197 6.9783
N 2.9691 9.9458 8.6811
N 3.2920 0.9646 1.7585
N 3.2920 4.4906 3.4613
N 4.1581 7.0877 1.4417
N 4.1581 9.2778 3.7781
N 5.2335 1.6325 3.7781
N 5.2335 3.8226 1.4417
N 6.0996 6.4197 3.4613
N 6.0996 9.9458 1.7585
```

The 12 most intense peaks (2θ = 10–90°), in order of rising 2θ:
16.51°, I 33; 16.99°, I 19; 25.94°, I 40; 29.36°, I 100; 29.69°, I 44; 30.51°, I 37; 33.26°, I 28; 36.96°, I 24; 37.19°, I 22; 44.62°, I 19; 53.91°, I 21; 61.61°, I 23

[4]
The following is a theoretical X-ray diffraction stick pattern of LuMgMnS4. It was derived from a cell relaxed with PBE, using Cu Kα, 1.54184 Å.

Crystal structure
```
14
Lattice="-3.7735 3.8310 5.2410 3.7735 -3.8310 5.2410 3.7735 3.8310 -5.2410" Properties=species:S:1:pos:R:3 pbc="T T T"
Lu 0.0000 0.0000 0.0000
Lu 0.0000 3.8310 0.0000
Mg 3.7735 1.9155 1.3212
Mg 0.0000 1.9155 3.9198
Mn 1.8867 1.9155 -2.6205
Mn 1.8867 -1.9155 2.6205
S 3.7735 -0.2186 2.6101
S 3.7735 3.6125 -2.6101
S 1.8422 1.9155 -0.1933
S 1.9313 -1.9155 5.0477
S 1.8422 5.7465 0.1933
S 1.9313 1.9155 5.4343
S 0.0000 0.2186 7.8511
S 0.0000 4.0496 2.6309
```

The 12 most intense peaks (2θ = 10–90°), in order of rising 2θ:
14.32°, I 16; 14.46°, I 100; 16.92°, I 18; 27.46°, I 65; 28.14°, I 37; 33.33°, I 61; 34.22°, I 28; 36.78°, I 29; 43.92°, I 20; 47.46°, I 14; 48.23°, I 14; 48.51°, I 52